# Hg5P4
Theoretical X-ray diffraction stick pattern, copper Kα. Input: a crystal structure in Alexandria, relaxed with PBE.
No peak broadening, texture or thermal motion is included.

Structure:
```
data_Hg5P4
_chemical_formula_sum 'Hg10 P8'
_space_group_name_H-M_alt 'I 4/m m m'
_space_group_IT_number 139
_space_group_name_Hall '-I 4 2'
_cell_length_a 10.733
_cell_length_b 10.733
_cell_length_c 4.080
_cell_angle_alpha 90.00
_cell_angle_beta 90.00
_cell_angle_gamma 90.00
loop_
_atom_site_label
_atom_site_fract_x
_atom_site_fract_y
_atom_site_fract_z
Hg1 0.000 0.000 0.000
Hg2 0.168 0.168 0.500
P1 0.000 0.400 0.000
```

The 12 most intense peaks (10 to 80 degrees two-theta), low angle first:
2θ 11.66, d 7.589, rel. 36
2θ 23.44, d 3.795, rel. 21
2θ 28.72, d 3.109, rel. 34
2θ 33.31, d 2.690, rel. 100
2θ 35.48, d 2.530, rel. 39
2θ 37.45, d 2.402, rel. 12
2θ 44.40, d 2.040, rel. 12
2θ 51.03, d 1.790, rel. 26
2θ 58.08, d 1.588, rel. 19
2θ 62.34, d 1.490, rel. 28
2θ 69.94, d 1.345, rel. 10
2θ 74.66, d 1.271, rel. 10